For Fe3Co5, a PBE-relaxed structure gives the simulated X-ray powder pattern in this record (Cu Ka).
Peak positions follow from Bragg's law for the DFT cell and can differ from measured ones.

Main lines, low angle first (2θ from 5° to 70°):
- 45.31 deg, I 100
- 66.02 deg, I 15

Structure:
```
Fe3Co5
1.0
2.001 1.155 6.542
-2.001 1.155 6.542
0.000 -2.310 6.542
Fe Co
3 5
direct
0.000 0.000 0.000
0.125 0.125 0.125
0.624 0.624 0.624
0.248 0.248 0.248
0.374 0.374 0.374
0.499 0.499 0.499
0.751 0.751 0.751
0.877 0.877 0.877
```